For CsGaW, a PBE-relaxed structure gives the theoretical X-ray diffraction stick pattern in this record (Cu Ka).
Peak positions follow from Bragg's law for the DFT cell and can differ from measured ones.

The 10 most intense peaks (2θ from 5° to 70°), in order of falling intensity:
| 2theta | intensity |
| --- | --- |
| 34.60 | 1000 |
| 24.28 | 473 |
| 62.00 | 368 |
| 56.09 | 193 |
| 49.74 | 178 |
| 42.72 | 141 |
| 20.98 | 126 |
| 40.82 | 70 |
| 54.55 | 30 |
| 66.23 | 22 |

Atomic structure:
Cell: 7.333 7.333 7.333 Å, 90.00 90.00 90.00°
Space group F-43m (No. 216)
Symmetry-distinct sites (fractional):
Cs 0.000 0.000 0.000
Ga 0.250 0.250 0.250
W 0.000 0.000 0.500